Starting from the PBE+U geometry in Alexandria, the powder diffractogram of Ca2VClO4 was calculated for CuKα.
Neutral-atom scattering factors, no anomalous dispersion.

Structural model:
```
data_Ca2VClO4
_space_group_name_H-M_alt 'P b c m'
_space_group_IT_number 57
_cell_length_a 6.419
_cell_length_b 7.195
_cell_length_c 11.196
_cell_angle_alpha 90.00
_cell_angle_beta 90.00
_cell_angle_gamma 90.00
loop_
_space_group_symop_operation_xyz
'x,y,z'
'-x,-y,-z'
'-x,-y,z+1/2'
'x,y,-z+1/2'
'x,-y+1/2,-z'
'-x,y+1/2,z'
'-x,y+1/2,-z+1/2'
'x,-y+1/2,z+1/2'
loop_
_atom_site_label
_atom_site_type_symbol
_atom_site_fract_x
_atom_site_fract_y
_atom_site_fract_z
_atom_site_occupancy
Ca1 Ca 0.122 0.250 0.000 1
Ca2 Ca 0.358 0.527 0.250 1
V1 V 0.371 0.750 0.000 1
Cl1 Cl 0.003 0.702 0.750 1
O1 O 0.208 0.564 0.029 1
O2 O 0.468 0.230 0.625 1
```

Main lines, by angle (2θ from 15° to 90°):
20.2 deg, rel. 77, (1 1 1); 24.7 deg, rel. 65, (0 2 0); 29.5 deg, rel. 71, (0 2 2); 32.0 deg, rel. 100, (0 0 4); 32.7 deg, rel. 60, (1 2 2); 34.5 deg, rel. 80, (2 1 2); 44.8 deg, rel. 78, (2 1 4); 50.2 deg, rel. 62, (2 3 2)